Structure and theoretical powder XRD pattern of Fe3OF5 (the PBE+U geometry in Alexandria; Cu Kα (λ = 1.5418 Å)).
Peak positions follow from Bragg's law for the DFT cell and can differ from measured ones.

```
Fe3OF5
1.0
5.7715 0.0000 0.0000
0.0000 4.7830 0.0000
-0.2855 0.0000 8.0745
Fe O F
6 2 10
Cartesian
0.2937 0.0000 2.6292
1.1885 2.3309 7.9583
2.1653 4.6100 5.3841
3.3207 2.2185 2.6904
4.2975 4.7224 0.1162
5.1923 2.3915 5.4453
0.9328 3.2028 6.0975
4.5532 0.8113 1.9770
0.3102 3.6759 0.9384
0.4742 0.9096 4.4395
1.5827 1.2884 1.8459
2.0077 3.7687 3.3611
2.3183 0.7956 7.2764
3.1677 3.1871 0.7982
3.4783 1.3772 4.7134
3.9033 3.6799 6.2286
5.0118 3.3011 3.6350
5.1758 1.2844 7.1361
```

The 8 most intense peaks (5° ≤ 2θ ≤ 70°), low angle first:
h k l  Position (°2θ)  intensity
1 1 -1  26.38  100
1 1 2  33.31  58
2 1 1  38.41  20
0 2 3  51.11  49
3 1 0  51.21  16
2 2 -2  54.30  19
3 1 3  63.46  13
2 0 -5  65.17  17